Entry 1:
The following is a simulated PXRD pattern of Al13Fe4. It was derived from a PBE-relaxed structure, using copper Kα.

Largest 10 diffraction maxima, by angle, 10° ≤ 2θ ≤ 90°:
2θ (°)	Rel. int.
22.1	32
22.5	34
25.3	48
43.2	88
43.4	77
43.7	32
44.4	100
44.6	67
44.8	63
45.1	82

Crystal structure
Lattice parameters (Å, degrees): 15.432 8.040 12.442 90.00 107.73 90.00
Space group C2/m (No. 12)
One atom of each set of equivalent atoms:
1 Al 0.000 0.000 0.000 (multiplicity 2)
2 Al 0.000 0.250 0.500 (multiplicity 4)
3 Al 0.008 0.233 0.170 (multiplicity 8)
4 Al 0.021 0.000 0.670 (multiplicity 4)
5 Al 0.066 0.500 0.673 (multiplicity 4)
6 Al 0.074 0.500 0.080 (multiplicity 4)
7 Al 0.087 0.500 0.288 (multiplicity 4)
8 Al 0.132 0.212 0.390 (multiplicity 8)
9 Al 0.137 0.220 0.022 (multiplicity 8)
10 Al 0.177 0.000 0.218 (multiplicity 4)
11 Al 0.178 0.280 0.834 (multiplicity 8)
12 Al 0.186 0.282 0.611 (multiplicity 8)
13 Al 0.195 0.000 0.727 (multiplicity 4)
14 Al 0.237 0.500 0.034 (multiplicity 4)
15 Al 0.241 0.500 0.462 (multiplicity 4)
16 Fe 0.085 0.500 0.883 (multiplicity 4)
17 Fe 0.091 0.500 0.488 (multiplicity 4)
18 Fe 0.098 0.000 0.515 (multiplicity 4)
19 Fe 0.099 0.000 0.877 (multiplicity 4)
20 Fe 0.180 0.294 0.222 (multiplicity 8)

***

Entry 2:
The following is a simulated PXRD pattern of Bi2Cl2O. It was derived from a PBE-relaxed structure, using copper Kα.

Largest 10 diffraction maxima, by angle, 10° ≤ 2θ ≤ 90°:
2θ (°)	Rel. int.
13.6	32
20.5	37
26.2	100
27.1	23
29.6	21
33.5	47
37.3	39
38.3	21
43.0	25
49.9	29

Crystal structure
Lattice parameters (Å, degrees): 3.407 3.407 12.988 90.00 90.00 90.00
Space group P4/mmm (No. 123)
One atom of each set of equivalent atoms:
1 Bi 0.000 0.000 0.165 (multiplicity 2)
2 Cl 0.000 0.000 0.365 (multiplicity 2)
3 O 0.000 0.000 0.000 (multiplicity 1)

***

Entry 3:
The following is a simulated PXRD pattern of UFeGe. It was derived from a PBE-relaxed structure, using copper Kα.

Largest 10 diffraction maxima, by angle, 10° ≤ 2θ ≤ 90°:
2θ (°)	Rel. int.
23.8	79
34.1	100
34.6	41
34.9	23
35.5	54
37.6	30
40.7	52
44.4	41
68.3	20
69.8	25

Crystal structure
Lattice parameters (Å, degrees): 6.914 4.437 7.137 90.00 94.10 90.00
Space group P2_1/m (No. 11)
One atom of each set of equivalent atoms:
1 U 0.195 0.250 0.483 (multiplicity 2)
2 U 0.284 0.250 0.961 (multiplicity 2)
3 Fe 0.030 0.750 0.739 (multiplicity 2)
4 Fe 0.472 0.750 0.366 (multiplicity 2)
5 Ge 0.125 0.750 0.197 (multiplicity 2)
6 Ge 0.407 0.750 0.710 (multiplicity 2)

***

Entry 4:
The following is a simulated PXRD pattern of NdO2. It was derived from a PBE-relaxed structure, using copper Kα.

Largest 10 diffraction maxima, by angle, 10° ≤ 2θ ≤ 90°:
2θ (°)	Rel. int.
23.4	100
28.8	70
28.9	22
33.2	13
33.6	14
44.6	39
44.8	36
47.9	17
54.1	20
57.2	11

Crystal structure
Lattice parameters (Å, degrees): 6.539 5.404 6.551 90.00 109.32 90.00
Space group P2_1/c (No. 14)
One atom of each set of equivalent atoms:
1 Nd 0.249 0.002 0.252 (multiplicity 4)
2 O 0.089 0.705 0.415 (multiplicity 4)
3 O 0.410 0.198 0.594 (multiplicity 4)

***

Entry 5:
The following is a simulated PXRD pattern of UCoGe. It was derived from a PBE-relaxed structure, using copper Kα.

Largest 10 diffraction maxima, by angle, 10° ≤ 2θ ≤ 90°:
2θ (°)	Rel. int.
24.3	42
35.5	38
36.3	100
36.9	39
40.4	15
42.2	31
43.7	33
57.3	22
71.4	17
73.2	14

Crystal structure
Lattice parameters (Å, degrees): 6.693 4.287 7.099 90.00 90.00 90.00
Space group Pnma (No. 62)
One atom of each set of equivalent atoms:
1 U 0.017 0.250 0.204 (multiplicity 4)
2 Co 0.216 0.750 0.428 (multiplicity 4)
3 Ge 0.190 0.250 0.592 (multiplicity 4)

***

Entry 6:
The following is a simulated PXRD pattern of Ca10Al6Si13N30. It was derived from a PBE-relaxed structure, using copper Kα.

Largest 10 diffraction maxima, by angle, 10° ≤ 2θ ≤ 90°:
2θ (°)	Rel. int.
31.3	31
31.7	50
31.9	44
35.4	100
36.0	36
36.1	36
36.4	73
36.7	39
48.3	34
64.2	41

Crystal structure
Lattice parameters (Å, degrees): 5.067 5.655 24.626 84.78 89.69 90.00
Space group P1 (No. 1)
One atom of each set of equivalent atoms:
1 Ca 0.000 0.000 0.000 (multiplicity 1)
2 Ca 0.001 0.210 0.601 (multiplicity 1)
3 Ca 0.017 0.761 0.376 (multiplicity 1)
4 Ca 0.453 0.016 0.219 (multiplicity 1)
5 Ca 0.495 0.234 0.805 (multiplicity 1)
6 Ca 0.501 0.636 0.011 (multiplicity 1)
7 Ca 0.504 0.846 0.604 (multiplicity 1)
8 Ca 0.512 0.427 0.396 (multiplicity 1)
9 Ca 0.986 0.443 0.216 (multiplicity 1)
10 Ca 0.992 0.616 0.803 (multiplicity 1)
11 Al 0.025 0.049 0.874 (multiplicity 1)
12 Al 0.520 0.802 0.734 (multiplicity 1)
13 Al 0.524 0.126 0.076 (multiplicity 1)
14 Al 0.525 0.337 0.672 (multiplicity 1)
15 Al 0.526 0.725 0.877 (multiplicity 1)
16 Al 0.535 0.926 0.472 (multiplicity 1)
17 Si 0.017 0.937 0.135 (multiplicity 1)
18 Si 0.025 0.513 0.938 (multiplicity 1)
19 Si 0.027 0.442 0.077 (multiplicity 1)
20 Si 0.030 0.122 0.732 (multiplicity 1)
21 Si 0.031 0.649 0.672 (multiplicity 1)
22 Si 0.035 0.714 0.533 (multiplicity 1)
23 Si 0.043 0.237 0.472 (multiplicity 1)
24 Si 0.508 0.976 0.336 (multiplicity 1)
25 Si 0.509 0.521 0.280 (multiplicity 1)
26 Si 0.517 0.606 0.140 (multiplicity 1)
27 Si 0.520 0.202 0.937 (multiplicity 1)
28 Si 0.531 0.403 0.533 (multiplicity 1)
29 Si 0.994 0.281 0.335 (multiplicity 1)
30 N 0.009 0.338 0.406 (multiplicity 1)
31 N 0.330 0.260 0.313 (multiplicity 1)
32 N 0.358 0.765 0.301 (multiplicity 1)
33 N 0.362 0.881 0.121 (multiplicity 1)
34 N 0.364 0.622 0.684 (multiplicity 1)
35 N 0.365 0.103 0.718 (multiplicity 1)
36 N 0.365 0.484 0.925 (multiplicity 1)
37 N 0.366 0.415 0.095 (multiplicity 1)
38 N 0.379 0.685 0.522 (multiplicity 1)
39 N 0.380 0.219 0.490 (multiplicity 1)
40 N 0.386 0.024 0.890 (multiplicity 1)
41 N 0.467 0.865 0.404 (multiplicity 1)
42 N 0.482 0.071 0.002 (multiplicity 1)
43 N 0.490 0.507 0.208 (multiplicity 1)
44 N 0.492 0.661 0.805 (multiplicity 1)
45 N 0.506 0.274 0.599 (multiplicity 1)
46 N 0.823 0.040 0.323 (multiplicity 1)
47 N 0.824 0.517 0.306 (multiplicity 1)
48 N 0.861 0.254 0.921 (multiplicity 1)
49 N 0.861 0.643 0.118 (multiplicity 1)
50 N 0.879 0.445 0.515 (multiplicity 1)
51 N 0.884 0.853 0.713 (multiplicity 1)
52 N 0.890 0.363 0.689 (multiplicity 1)
53 N 0.890 0.744 0.896 (multiplicity 1)
54 N 0.897 0.153 0.082 (multiplicity 1)
55 N 0.899 0.958 0.494 (multiplicity 1)
56 N 0.961 0.027 0.196 (multiplicity 1)
57 N 0.977 0.162 0.801 (multiplicity 1)
58 N 0.981 0.753 0.602 (multiplicity 1)
59 N 0.994 0.564 0.008 (multiplicity 1)

***

Entry 7:
The following is a simulated PXRD pattern of BaSr2Y6O12. It was derived from a PBE-relaxed structure, using copper Kα.

Largest 10 diffraction maxima, by angle, 10° ≤ 2θ ≤ 90°:
2θ (°)	Rel. int.
27.6	12
29.7	100
31.0	56
37.0	30
43.5	32
52.7	22
53.5	31
61.8	38
77.9	14
85.5	20

Crystal structure
Lattice parameters (Å, degrees): 10.4164 10.4164 3.4660 90.00 90.00 120.00
Space group P-6 (No. 174)
One atom of each set of equivalent atoms:
1 Ba 0.0000 0.0000 0.0000 (multiplicity 1)
2 Sr 0.3333 0.6667 0.5000 (multiplicity 1)
3 Sr 0.6667 0.3333 0.0000 (multiplicity 1)
4 Y 0.0006 0.3491 0.0000 (multiplicity 3)
5 Y 0.3464 0.3454 0.5000 (multiplicity 3)
6 O 0.1044 0.2891 0.5000 (multiplicity 3)
7 O 0.1278 0.6050 0.0000 (multiplicity 3)
8 O 0.3024 0.1911 0.0000 (multiplicity 3)
9 O 0.5227 0.1256 0.5000 (multiplicity 3)

***

Entry 8:
The following is a simulated PXRD pattern of Ca3Ru2O7. It was derived from a PBE-relaxed structure, using copper Kα.

Largest 10 diffraction maxima, by angle, 10° ≤ 2θ ≤ 90°:
2θ (°)	Rel. int.
18.1	29
23.2	44
31.7	31
32.3	100
33.0	32
46.3	17
46.4	31
56.9	15
58.5	25
67.7	14

Crystal structure
Lattice parameters (Å, degrees): 19.616 5.428 5.638 90.00 90.00 90.00
Space group Cmc2_1 (No. 36)
One atom of each set of equivalent atoms:
1 Ca 0.000 0.232 0.000 (multiplicity 4)
2 Ca 0.189 0.243 0.878 (multiplicity 8)
3 Ru 0.099 0.252 0.438 (multiplicity 8)
4 O 0.000 0.343 0.414 (multiplicity 4)
5 O 0.080 0.054 0.739 (multiplicity 8)
6 O 0.119 0.449 0.144 (multiplicity 8)
7 O 0.199 0.175 0.462 (multiplicity 8)

***

Q: Which formula does entry 3 have?
A: UFeGe